# ZrNbCo5
Simulated powder X-ray diffraction pattern, CuKα. Input: DFT lattice parameters and positions (PBE).
Peak positions follow from Bragg's law for the DFT cell and can differ from measured ones.

Crystal structure
```
data_ZrNbCo5
_chemical_formula_sum 'Zr4 Nb4 Co20'
_cell_length_a 7.8524
_cell_length_b 4.7349
_cell_length_c 9.9248
_cell_angle_alpha 90.00
_cell_angle_beta 90.00
_cell_angle_gamma 90.00
_space_group_name_H-M_alt 'P n m a'
_space_group_IT_number 62
loop_
_space_group_symop_operation_xyz
'x,y,z'
'-x,-y,-z'
'-x+1/2,-y,z+1/2'
'x+1/2,y,-z+1/2'
'x+1/2,-y+1/2,-z+1/2'
'-x+1/2,y+1/2,z+1/2'
'-x,y+1/2,-z'
'x,-y+1/2,z'
loop_
_atom_site_label
_atom_site_type_symbol
_atom_site_fract_x
_atom_site_fract_y
_atom_site_fract_z
Zr1 Zr 0.2433 0.2500 0.0570
Nb1 Nb 0.1320 0.2500 0.3562
Co1 Co 0.0470 0.2500 0.5918
Co2 Co 0.0679 0.5017 0.8090
Co3 Co 0.0919 0.7500 0.0185
Co4 Co 0.1903 0.7500 0.2457
```

The 6 most intense peaks (5° ≤ 2θ ≤ 70°), in order of falling intensity:
- 2θ 40.42, I = 100
- 2θ 38.02, I = 49
- 2θ 47.21, I = 36
- 2θ 48.70, I = 31
- 2θ 45.67, I = 31
- 2θ 47.41, I = 29